No. 1
Diffraction record for Ac6Rh4F. The X-ray powder pattern is computed, not measured: it uses a GGA-PBE-relaxed structure and Cu Kα (λ = 1.5418 Å).
Peak positions follow from Bragg's law for the DFT cell and can differ from measured ones.

Crystal structure
Cell: 6.103 6.105 9.440 Å, 89.97 71.19 89.99°
Space group P1 (No. 1)
Asymmetric unit:
Ac  0.000  0.000  0.000
Ac  0.142  0.490  0.666
Ac  0.301  0.990  0.339
Ac  0.483  0.518  0.000
Ac  0.642  0.990  0.661
Ac  0.806  0.491  0.334
Rh  0.125  0.991  0.693
Rh  0.319  0.488  0.309
Rh  0.630  0.488  0.692
Rh  0.814  0.991  0.307
F  0.414  0.933  0.001

Most intense lines, 10 to 90 degrees two-theta, in order of rising 2θ:
hkl 1 1 2, 2θ = 25.5°, I 71; hkl 2 0 1, 2θ = 29.3°, I 100; hkl 0 0 3, 2θ = 30.0°, I 45; hkl 2 -2 1, 2θ = 41.9°, I 38; hkl 2 0 -2, 2θ = 42.4°, I 70; hkl 3 1 3, 2θ = 49.6°, I 25; hkl 1 1 5, 2θ = 50.6°, I 15; hkl -2 2 2, 2θ = 52.4°, I 37; hkl 4 -2 2, 2θ = 68.8°, I 17; hkl 4 0 -1, 2θ = 69.2°, I 16; hkl 2 0 -5, 2θ = 70.3°, I 13; hkl -4 2 1, 2θ = 76.8°, I 23

No. 2
Diffraction record for AcSbF. The X-ray powder pattern is computed, not measured: it uses a GGA-PBE-relaxed structure and Cu Kα (λ = 1.5418 Å).
Peak positions follow from Bragg's law for the DFT cell and can differ from measured ones.

Crystal structure
Cell: 4.3342 4.3342 5.0575 Å, 90.00 90.00 120.00°
Space group P-6m2 (No. 187)
Asymmetric unit:
Ac  0.0000  0.0000  0.0000
Sb  0.6667  0.3333  0.5000
F  0.3333  0.6667  0.0000

Most intense lines, 10 to 90 degrees two-theta, in order of rising 2θ:
hkl 0 0 1, 2θ = 17.5°, I 9; hkl 1 0 0, 2θ = 23.7°, I 29; hkl 1 0 1, 2θ = 29.6°, I 100; hkl 0 0 2, 2θ = 35.5°, I 15; hkl 1 1 0, 2θ = 41.7°, I 30; hkl 1 0 2, 2θ = 43.1°, I 13; hkl 2 0 1, 2θ = 52.0°, I 21; hkl 1 1 2, 2θ = 55.9°, I 25; hkl 1 0 3, 2θ = 60.2°, I 14; hkl 2 1 1, 2θ = 68.7°, I 19; hkl 2 0 3, 2θ = 75.9°, I 7; hkl 3 0 2, 2θ = 86.9°, I 7

No. 3
Diffraction record for Ac2SeF4. The X-ray powder pattern is computed, not measured: it uses a GGA-PBE-relaxed structure and Cu Kα (λ = 1.5418 Å).
Peak positions follow from Bragg's law for the DFT cell and can differ from measured ones.

Crystal structure
Cell: 4.3474 4.3474 24.0632 Å, 90.00 90.00 120.00°
Space group R-3m (No. 166, hexagonal axes)
Asymmetric unit:
Ac  0.0000  0.0000  0.2437
Se  0.0000  0.0000  0.0000
F  0.0000  0.0000  0.1387
F  0.0000  0.0000  0.4305

Most intense lines, 10 to 90 degrees two-theta, in order of rising 2θ:
hkl 0 0 6, 2θ = 22.2°, I 35; hkl 0 1 2, 2θ = 24.8°, I 70; hkl 1 0 4, 2θ = 28.0°, I 100; hkl 0 1 8, 2θ = 38.3°, I 48; hkl 1 1 0, 2θ = 41.5°, I 57; hkl 1 0 10, 2θ = 44.7°, I 18; hkl 1 1 6, 2θ = 47.6°, I 29; hkl 0 2 4, 2θ = 50.8°, I 20; hkl 2 0 8, 2θ = 57.8°, I 15; hkl 1 1 12, 2θ = 63.1°, I 21; hkl 2 1 4, 2θ = 67.7°, I 18; hkl 1 2 8, 2θ = 73.6°, I 15

No. 4
Diffraction record for AcSnF6. The X-ray powder pattern is computed, not measured: it uses a GGA-PBE-relaxed structure and Cu Kα (λ = 1.5418 Å).
Peak positions follow from Bragg's law for the DFT cell and can differ from measured ones.

Crystal structure
Cell: 11.167 6.530 6.431 Å, 90.00 125.08 90.00°
Space group C2/m (No. 12)
Asymmetric unit:
Ac  0.000  0.000  0.000
Sn  0.000  0.500  0.500
F  0.020  0.264  0.283
F  0.236  0.500  0.776

Most intense lines, 10 to 90 degrees two-theta, in order of rising 2θ:
hkl 1 1 -1, 2θ = 19.4°, I 100; hkl 0 2 0, 2θ = 27.3°, I 9; hkl 1 1 1, 2θ = 27.6°, I 36; hkl 2 0 -2, 2θ = 27.7°, I 8; hkl 2 2 -2, 2θ = 39.3°, I 16; hkl 4 0 0, 2θ = 39.4°, I 8; hkl 1 3 -1, 2θ = 43.9°, I 8; hkl 4 2 -2, 2θ = 44.2°, I 24; hkl 5 1 -1, 2θ = 44.3°, I 8; hkl 3 3 -1, 2θ = 48.4°, I 8; hkl 2 0 2, 2θ = 48.9°, I 8; hkl 2 2 2, 2θ = 56.9°, I 10

No. 5
Diffraction record for AcSnF5. The X-ray powder pattern is computed, not measured: it uses a GGA-PBE-relaxed structure and Cu Kα (λ = 1.5418 Å).
Peak positions follow from Bragg's law for the DFT cell and can differ from measured ones.

Crystal structure
Cell: 7.149 7.409 8.724 Å, 90.00 90.65 90.00°
Space group Cc (No. 9)
Asymmetric unit:
Ac  0.000  0.002  0.000
Sn  0.495  0.032  0.747
F  0.091  0.179  0.252
F  0.157  0.481  0.982
F  0.296  0.189  0.576
F  0.311  0.159  0.924
F  0.414  0.370  0.248

Most intense lines, 10 to 90 degrees two-theta, in order of rising 2θ:
hkl 1 1 0, 2θ = 17.2°, I 31; hkl 0 2 0, 2θ = 24.0°, I 68; hkl 2 0 0, 2θ = 24.9°, I 64; hkl 1 1 -2, 2θ = 26.7°, I 100; hkl 1 1 2, 2θ = 26.9°, I 96; hkl 2 2 0, 2θ = 34.9°, I 61; hkl 0 0 4, 2θ = 41.4°, I 25; hkl 1 3 -2, 2θ = 43.9°, I 36; hkl 1 3 2, 2θ = 44.1°, I 34; hkl 3 1 -2, 2θ = 44.8°, I 37; hkl 3 1 2, 2θ = 45.3°, I 39; hkl 0 2 4, 2θ = 48.4°, I 26

No. 6
Diffraction record for Ac4Sn2F. The X-ray powder pattern is computed, not measured: it uses a GGA-PBE-relaxed structure and Cu Kα (λ = 1.5418 Å).
Peak positions follow from Bragg's law for the DFT cell and can differ from measured ones.

Crystal structure
Cell: 5.131 5.131 18.469 Å, 90.00 90.00 90.00°
Space group I4/mmm (No. 139)
Asymmetric unit:
Ac  0.000  0.000  0.184
Ac  0.000  0.500  0.000
Sn  0.000  0.000  0.368
F  0.000  0.000  0.000

Most intense lines, 10 to 90 degrees two-theta, in order of rising 2θ:
hkl 1 1 2, 2θ = 26.4°, I 100; hkl 0 0 6, 2θ = 29.0°, I 27; hkl 1 0 5, 2θ = 29.8°, I 40; hkl 1 1 4, 2θ = 31.4°, I 58; hkl 2 0 0, 2θ = 35.0°, I 59; hkl 2 0 6, 2θ = 46.1°, I 32; hkl 1 1 8, 2θ = 46.6°, I 40; hkl 2 2 0, 2θ = 50.3°, I 21; hkl 3 1 2, 2θ = 57.7°, I 34; hkl 2 2 6, 2θ = 59.1°, I 15; hkl 3 1 4, 2θ = 60.5°, I 23; hkl 3 1 8, 2θ = 71.0°, I 16

No. 7
Diffraction record for AcTb2F11. The X-ray powder pattern is computed, not measured: it uses a GGA-PBE-relaxed structure and Cu Kα (λ = 1.5418 Å).
Peak positions follow from Bragg's law for the DFT cell and can differ from measured ones.

Crystal structure
Cell: 8.536 10.454 12.171 Å, 90.00 90.00 90.00°
Space group Ibam (No. 72)
Asymmetric unit:
Ac  0.000  0.000  0.250
Tb  0.154  0.312  0.000
F  0.000  0.500  0.000
F  0.110  0.178  0.136
F  0.110  0.302  0.500
F  0.216  0.079  0.374

Most intense lines, 10 to 90 degrees two-theta, in order of rising 2θ:
hkl 1 1 0, 2θ = 13.4°, I 31; hkl 1 1 2, 2θ = 19.8°, I 100; hkl 1 2 1, 2θ = 21.2°, I 29; hkl 0 2 2, 2θ = 22.4°, I 72; hkl 2 1 1, 2θ = 23.7°, I 46; hkl 2 0 2, 2θ = 25.5°, I 25; hkl 1 3 0, 2θ = 27.7°, I 23; hkl 0 0 4, 2θ = 29.4°, I 17; hkl 2 2 4, 2θ = 40.3°, I 21; hkl 1 3 4, 2θ = 40.8°, I 30; hkl 3 3 2, 2θ = 43.7°, I 43; hkl 1 5 2, 2θ = 47.2°, I 19

No. 8
Diffraction record for Ac2Te2F3. The X-ray powder pattern is computed, not measured: it uses a GGA-PBE-relaxed structure and Cu Kα (λ = 1.5418 Å).
Peak positions follow from Bragg's law for the DFT cell and can differ from measured ones.

Crystal structure
Cell: 12.272 4.173 7.987 Å, 90.00 119.65 90.00°
Space group C2/m (No. 12)
Asymmetric unit:
Ac  0.159  0.000  0.232
Te  0.126  0.000  0.775
F  0.000  0.500  0.000
F  0.174  0.500  0.415

Most intense lines, 10 to 90 degrees two-theta, in order of rising 2θ:
hkl 2 0 -1, 2θ = 15.1°, I 28; hkl 1 1 0, 2θ = 22.9°, I 89; hkl 0 0 2, 2θ = 25.7°, I 100; hkl 4 0 -2, 2θ = 30.6°, I 56; hkl 1 1 -2, 2θ = 31.3°, I 40; hkl 3 1 0, 2θ = 33.1°, I 90; hkl 3 1 -2, 2θ = 33.5°, I 75; hkl 4 0 0, 2θ = 33.6°, I 34; hkl 1 1 2, 2θ = 37.7°, I 42; hkl 0 2 0, 2θ = 43.4°, I 34; hkl 3 1 2, 2θ = 49.9°, I 33; hkl 0 2 2, 2θ = 51.1°, I 32

No. 9
Diffraction record for AcTi2F8. The X-ray powder pattern is computed, not measured: it uses a GGA-PBE-relaxed structure and Cu Kα (λ = 1.5418 Å).
Peak positions follow from Bragg's law for the DFT cell and can differ from measured ones.

Crystal structure
Cell: 7.2819 7.2819 4.0598 Å, 90.00 90.00 120.00°
Space group P-3 (No. 147)
Asymmetric unit:
Ac  0.0000  0.0000  0.0000
Ti  0.3333  0.6667  0.2593
F  0.1778  0.8205  0.2512
F  0.3333  0.6667  0.7570

Most intense lines, 10 to 90 degrees two-theta, in order of rising 2θ:
hkl 1 0 0, 2θ = 14.0°, I 85; hkl 1 1 0, 2θ = 24.4°, I 100; hkl 0 1 1, 2θ = 26.1°, I 95; hkl 1 1 1, 2θ = 33.0°, I 43; hkl 0 2 1, 2θ = 36.1°, I 38; hkl 2 1 0, 2θ = 37.7°, I 24; hkl 3 0 0, 2θ = 43.0°, I 22; hkl 1 2 1, 2θ = 44.1°, I 45; hkl 1 0 2, 2θ = 47.0°, I 26; hkl 2 2 0, 2θ = 50.1°, I 28; hkl 0 2 2, 2θ = 53.7°, I 26; hkl 4 -1 1, 2θ = 57.4°, I 21

No. 10
Diffraction record for AcTi2F11. The X-ray powder pattern is computed, not measured: it uses a GGA-PBE-relaxed structure and Cu Kα (λ = 1.5418 Å).
Peak positions follow from Bragg's law for the DFT cell and can differ from measured ones.

Crystal structure
Cell: 7.708 10.078 10.944 Å, 90.00 90.00 90.00°
Space group Ibam (No. 72)
Asymmetric unit:
Ac  0.000  0.000  0.250
Ti  0.118  0.322  0.000
F  0.000  0.500  0.000
F  0.110  0.189  0.125
F  0.120  0.286  0.500
F  0.249  0.413  0.122

Most intense lines, 10 to 90 degrees two-theta, in order of rising 2θ:
hkl 1 1 0, 2θ = 14.5°, I 53; hkl 1 1 2, 2θ = 21.8°, I 100; hkl 0 2 2, 2θ = 24.0°, I 44; hkl 2 0 2, 2θ = 28.3°, I 12; hkl 1 3 0, 2θ = 29.0°, I 17; hkl 2 2 2, 2θ = 33.5°, I 19; hkl 3 1 2, 2θ = 39.8°, I 12; hkl 2 0 4, 2θ = 40.4°, I 13; hkl 1 3 4, 2θ = 44.3°, I 23; hkl 2 2 4, 2θ = 44.4°, I 18; hkl 3 3 2, 2θ = 47.6°, I 16; hkl 1 5 2, 2θ = 49.6°, I 14

No. 11
Diffraction record for AcTl3F6. The X-ray powder pattern is computed, not measured: it uses a GGA-PBE-relaxed structure and Cu Kα (λ = 1.5418 Å).
Peak positions follow from Bragg's law for the DFT cell and can differ from measured ones.

Crystal structure
Cell: 7.391 13.364 4.433 Å, 90.00 90.00 90.00°
Space group Pnnm (No. 58)
Asymmetric unit:
Ac  0.000  0.000  0.000
Tl  0.000  0.500  0.000
Tl  0.042  0.266  0.500
F  0.066  0.813  0.000
F  0.145  0.942  0.500
F  0.197  0.580  0.500

Most intense lines, 10 to 90 degrees two-theta, in order of rising 2θ:
hkl 2 0 0, 2θ = 24.1°, I 34; hkl 0 4 0, 2θ = 26.7°, I 28; hkl 1 2 1, 2θ = 27.0°, I 100; hkl 2 4 0, 2θ = 36.2°, I 24; hkl 0 0 2, 2θ = 40.7°, I 13; hkl 3 2 1, 2θ = 44.2°, I 26; hkl 1 6 1, 2θ = 47.3°, I 25; hkl 2 0 2, 2θ = 47.9°, I 11; hkl 0 4 2, 2θ = 49.3°, I 15; hkl 2 4 2, 2θ = 55.6°, I 15; hkl 3 6 1, 2θ = 59.7°, I 8; hkl 1 2 3, 2θ = 66.0°, I 9

No. 12
Diffraction record for Ac2UF8. The X-ray powder pattern is computed, not measured: it uses a GGA-PBE-relaxed structure and Cu Kα (λ = 1.5418 Å).
Peak positions follow from Bragg's law for the DFT cell and can differ from measured ones.

Crystal structure
Cell: 4.410 5.513 13.336 Å, 90.00 90.00 90.00°
Space group Immm (No. 71)
Asymmetric unit:
Ac  0.000  0.000  0.169
U  0.000  0.000  0.500
F  0.000  0.249  0.345
F  0.000  0.254  0.000
F  0.000  0.500  0.184

Most intense lines, 10 to 90 degrees two-theta, in order of rising 2θ:
hkl 0 1 3, 2θ = 25.7°, I 100; hkl 1 1 0, 2θ = 25.9°, I 98; hkl 1 0 3, 2θ = 28.5°, I 67; hkl 0 2 0, 2θ = 32.5°, I 24; hkl 0 0 6, 2θ = 40.6°, I 25; hkl 2 0 0, 2θ = 40.9°, I 26; hkl 1 2 3, 2θ = 43.8°, I 84; hkl 1 1 6, 2θ = 48.8°, I 38; hkl 2 1 3, 2θ = 49.0°, I 37; hkl 1 3 0, 2θ = 54.0°, I 28; hkl 2 0 6, 2θ = 59.0°, I 16; hkl 3 2 3, 2θ = 76.5°, I 16

No. 13
Diffraction record for AcUF6. The X-ray powder pattern is computed, not measured: it uses a GGA-PBE-relaxed structure and Cu Kα (λ = 1.5418 Å).
Peak positions follow from Bragg's law for the DFT cell and can differ from measured ones.

Crystal structure
Cell: 5.755 5.755 8.450 Å, 90.00 90.00 90.00°
Space group P4_2/m (No. 84)
Asymmetric unit:
Ac  0.000  0.000  0.000
U  0.500  0.500  0.250
F  0.197  0.247  0.186
F  0.309  0.335  0.500

Most intense lines, 10 to 90 degrees two-theta, in order of rising 2θ:
hkl 1 1 0, 2θ = 21.8°, I 91; hkl 1 0 2, 2θ = 26.2°, I 100; hkl 2 0 0, 2θ = 31.1°, I 23; hkl 2 1 2, 2θ = 41.1°, I 77; hkl 2 2 0, 2θ = 44.5°, I 19; hkl 1 1 4, 2θ = 48.6°, I 23; hkl 1 3 0, 2θ = 50.1°, I 19; hkl 3 0 2, 2θ = 52.4°, I 22; hkl 2 0 4, 2θ = 53.8°, I 15; hkl 3 2 2, 2θ = 62.2°, I 18; hkl 3 1 4, 2θ = 68.0°, I 16; hkl 1 4 2, 2θ = 71.1°, I 14